Simulated X-ray diffraction stick pattern of TiZnP2O7 for λ = 1.5418 Å (Cu Kα), from a crystal structure in Alexandria, relaxed with GGA-PBE.
Intensities are scaled so that the largest is 100.

Atomic structure:
Unit cell a=6.3684 b=6.5573 c=7.1204 alpha=81.38 beta=81.17 gamma=69.15
Space group P-1 (No. 2)
One atom of each set of equivalent atoms:
Ti (0.1954, 0.1619, 0.2180) (multiplicity 2)
Zn (0.4377, 0.6337, 0.6822) (multiplicity 2)
P (0.1493, 0.6919, 0.0850) (multiplicity 2)
P (0.2813, 0.1822, 0.6537) (multiplicity 2)
O (0.1215, 0.2582, 0.8542) (multiplicity 2)
O (0.1239, 0.1836, 0.5126) (multiplicity 2)
O (0.1525, 0.6979, 0.8659) (multiplicity 2)
O (0.2275, 0.8591, 0.1469) (multiplicity 2)
O (0.2792, 0.4577, 0.1729) (multiplicity 2)
O (0.4004, 0.3557, 0.5929) (multiplicity 2)
O (0.4498, 0.9548, 0.7118) (multiplicity 2)

Principal peaks in the range 2θ = 10–90°, most intense first:
2θ/deg, I (rel.), hkl
31.07, 100, 1 0 -2
27.40, 95, 1 -1 1
27.99, 93, 1 2 0
31.53, 69, 2 0 1
25.45, 62, 0 0 2
28.75, 61, 1 2 1
18.56, 57, 1 0 1
20.68, 56, 1 0 -1
29.31, 38, 0 2 0
24.28, 36, 1 -1 0
41.86, 36, 1 3 1
43.19, 36, 1 0 -3